[1]
This entry pairs a crystal structure of YbGaCuO4 with its theoretical powder diffraction line list. Radiation: λ = 1.5418 Å (Cu Kα). Structure: a DFT-relaxed cell (GGA-PBE, Alexandria).

Structural model:
Cell: 8.3121 8.3121 8.3121 Å, 24.62 24.62 24.62°
Atoms (fractional coordinates):
Yb 0.0000 0.0000 0.0000
Ga 0.2090 0.2090 0.2090
Cu 0.7851 0.7851 0.7851
O 0.1287 0.1287 0.1287
O 0.2851 0.2851 0.2851
O 0.7080 0.7080 0.7080
O 0.8672 0.8672 0.8672

Main lines, most intense first (10 to 90 degrees two-theta):
2theta  d/Å  I_rel
29.33  3.045  100
32.73  2.736  88
34.62  2.591  86
51.58  1.772  59
47.91  1.899  44
33.37  2.685  38
62.83  1.479  36
22.07  4.028  34

=====

[2]
This entry pairs a crystal structure of Ga6CuOs with its theoretical powder diffraction line list. Radiation: λ = 1.5418 Å (Cu Kα). Structure: a DFT-relaxed cell (GGA-PBE, Alexandria).

Structural model:
Cell: 6.4578 6.4578 5.4423 Å, 90.13 90.13 140.90°
Atoms (fractional coordinates):
Ga 0.0017 0.0017 0.2488
Ga 0.3004 0.6696 0.7507
Ga 0.3304 0.6996 0.2493
Ga 0.6696 0.3004 0.7507
Ga 0.6996 0.3304 0.2493
Ga 0.9983 0.9983 0.7512
Cu 0.5000 0.5000 0.5000
Os 0.5000 0.5000 0.0000

Main lines, most intense first (10 to 90 degrees two-theta):
2theta  d/Å  I_rel
45.17  2.007  100
45.39  1.998  98
21.84  4.069  94
14.56  6.086  75
41.81  2.161  65
29.35  3.043  51
44.67  2.028  49
36.16  2.484  39

=====

[3]
This entry pairs a crystal structure of GaCu2P2 with its theoretical powder diffraction line list. Radiation: λ = 1.5418 Å (Cu Kα). Structure: a DFT-relaxed cell (GGA-PBE, Alexandria).

Structural model:
Cell: 6.3165 6.3165 6.3165 Å, 146.62 146.62 47.93°
Atoms (fractional coordinates):
Ga 0.0000 0.0000 0.0000
Cu 0.3941 0.3941 0.0000
Cu 0.6059 0.6059 0.0000
P 0.2500 0.7500 0.5000
P 0.7500 0.2500 0.5000

Main lines, most intense first (10 to 90 degrees two-theta):
2theta  d/Å  I_rel
38.40  2.344  100
46.63  1.948  89
33.96  2.640  86
50.30  1.814  59
34.98  2.565  53
71.00  1.327  46
62.08  1.495  28
47.42  1.917  22

=====

[4]
This entry pairs a crystal structure of Pa2Ga2Cu with its theoretical powder diffraction line list. Radiation: λ = 1.5418 Å (Cu Kα). Structure: a DFT-relaxed cell (GGA-PBE, Alexandria).

Structural model:
Cell: 7.9098 7.9098 6.0857 Å, 90.00 90.00 147.94°
Atoms (fractional coordinates):
Pa 0.0248 0.9752 0.5000
Pa 0.2037 0.7963 0.3990
Pa 0.7963 0.2037 0.8990
Pa 0.9752 0.0248 0.0000
Ga 0.1672 0.8328 0.8904
Ga 0.4035 0.5965 0.6898
Ga 0.5965 0.4035 0.1898
Ga 0.8328 0.1672 0.3904
Cu 0.3988 0.6012 0.2494
Cu 0.6012 0.3988 0.7494

Main lines, most intense first (10 to 90 degrees two-theta):
2theta  d/Å  I_rel
35.99  2.496  100
36.47  2.464  85
25.78  3.456  56
21.16  4.199  50
41.34  2.184  48
38.48  2.339  41
40.27  2.240  33
31.67  2.825  30

=====

[5]
This entry pairs a crystal structure of Pa2Ga2Cu3 with its theoretical powder diffraction line list. Radiation: λ = 1.5418 Å (Cu Kα). Structure: a DFT-relaxed cell (GGA-PBE, Alexandria).

Structural model:
Cell: 9.3366 9.3366 6.6854 Å, 90.00 90.00 154.13°
Atoms (fractional coordinates):
Pa 0.0461 0.9539 0.7500
Pa 0.1525 0.8475 0.2500
Pa 0.8475 0.1525 0.7500
Pa 0.9539 0.0461 0.2500
Ga 0.3133 0.6867 0.0580
Ga 0.3133 0.6867 0.4420
Ga 0.6867 0.3133 0.5580
Ga 0.6867 0.3133 0.9420
Cu 0.2230 0.7770 0.7500
Cu 0.4399 0.5601 0.5682
Cu 0.4399 0.5601 0.9318
Cu 0.5601 0.4399 0.0682
Cu 0.5601 0.4399 0.4318
Cu 0.7770 0.2230 0.2500

Main lines, most intense first (10 to 90 degrees two-theta):
2theta  d/Å  I_rel
35.35  2.539  100
34.71  2.584  76
32.41  2.762  29
43.28  2.090  28
45.31  2.001  25
57.67  1.599  21
64.46  1.446  17
26.67  3.343  16

=====

[6]
This entry pairs a crystal structure of Pa3Ga7Cu2 with its theoretical powder diffraction line list. Radiation: λ = 1.5418 Å (Cu Kα). Structure: a DFT-relaxed cell (GGA-PBE, Alexandria).

Structural model:
Cell: 13.3969 13.3969 4.1097 Å, 90.00 90.00 162.01°
Atoms (fractional coordinates):
Pa 0.0000 0.0000 0.0000
Pa 0.1785 0.8215 0.0000
Pa 0.8215 0.1785 0.0000
Ga 0.0864 0.9136 0.5000
Ga 0.2732 0.7268 0.5000
Ga 0.4142 0.5858 0.0000
Ga 0.5000 0.5000 0.5000
Ga 0.5858 0.4142 0.0000
Ga 0.7268 0.2732 0.5000
Ga 0.9136 0.0864 0.5000
Cu 0.3613 0.6387 0.5000
Cu 0.6387 0.3613 0.5000

Main lines, most intense first (10 to 90 degrees two-theta):
2theta  d/Å  I_rel
34.97  2.566  100
29.71  3.007  28
43.20  2.094  26
44.07  2.055  25
38.86  2.318  24
43.37  2.086  23
27.15  3.284  21
30.67  2.915  19

=====

[7]
This entry pairs a crystal structure of Pa3GaCu with its theoretical powder diffraction line list. Radiation: λ = 1.5418 Å (Cu Kα). Structure: a DFT-relaxed cell (GGA-PBE, Alexandria).

Structural model:
Cell: 7.4843 7.4843 7.4843 Å, 90.00 90.00 90.00°
Atoms (fractional coordinates):
Pa 0.0380 0.1262 0.7880
Pa 0.1262 0.7880 0.0380
Pa 0.2120 0.5380 0.3738
Pa 0.2880 0.4620 0.8738
Pa 0.3738 0.2120 0.5380
Pa 0.4620 0.8738 0.2880
Pa 0.5380 0.3738 0.2120
Pa 0.6262 0.7120 0.9620
Pa 0.7120 0.9620 0.6262
Pa 0.7880 0.0380 0.1262
Pa 0.8738 0.2880 0.4620
Pa 0.9620 0.6262 0.7120
Ga 0.1771 0.1771 0.1771
Ga 0.3229 0.8229 0.6771
Ga 0.6771 0.3229 0.8229
Ga 0.8229 0.6771 0.3229
Cu 0.0747 0.9253 0.4253
Cu 0.4253 0.0747 0.9253
Cu 0.5747 0.5747 0.5747
Cu 0.9253 0.4253 0.0747

Main lines, most intense first (10 to 90 degrees two-theta):
2theta  d/Å  I_rel
36.00  2.495  100
38.02  2.367  61
26.63  3.347  24
67.38  1.390  23
63.37  1.468  20
54.86  1.674  16
39.95  2.257  15
51.83  1.764  12

=====

[8]
This entry pairs a crystal structure of Pa3Ga5Cu2 with its theoretical powder diffraction line list. Radiation: λ = 1.5418 Å (Cu Kα). Structure: a DFT-relaxed cell (GGA-PBE, Alexandria).

Structural model:
Cell: 8.5555 8.5555 8.5555 Å, 105.39 89.46 138.07°
Atoms (fractional coordinates):
Pa 0.1155 0.2310 0.3465
Pa 0.2500 0.2500 0.0000
Pa 0.3845 0.7310 0.1155
Pa 0.6155 0.2690 0.8845
Pa 0.7500 0.7500 0.0000
Pa 0.8845 0.7690 0.6535
Ga 0.0077 0.7500 0.2577
Ga 0.1196 0.6455 0.7651
Ga 0.2500 0.7500 0.5000
Ga 0.3804 0.1455 0.5259
Ga 0.4923 0.7500 0.7423
Ga 0.5077 0.2500 0.2577
Ga 0.6196 0.8545 0.4741
Ga 0.7500 0.2500 0.5000
Ga 0.8804 0.3545 0.2349
Ga 0.9923 0.2500 0.7423
Cu 0.1588 0.8623 0.0211
Cu 0.3412 0.3623 0.7035
Cu 0.6588 0.6377 0.2965
Cu 0.8412 0.1377 0.9789

Main lines, most intense first (10 to 90 degrees two-theta):
2theta  d/Å  I_rel
34.02  2.635  100
34.20  2.622  81
41.89  2.157  68
33.21  2.697  60
11.22  7.889  34
22.32  3.983  29
48.72  1.869  29
71.35  1.322  21